For MgIr2W2O12, a cell relaxed with GGA+U gives the simulated powder diffractogram in this record (Cu Kα, 1.54184 Å).

The 6 most intense peaks (2θ from 10° to 90°), by intensity:
- hkl 1 1 0, 23.86 deg, rel. 100
- hkl 1 1 2, 33.89 deg, rel. 69
- hkl 0 0 2, 23.71 deg, rel. 50
- hkl 0 2 0, 33.40 deg, rel. 19
- hkl 2 2 0, 48.85 deg, rel. 19
- hkl 2 0 0, 34.60 deg, rel. 16

Structure:
```
MgIr2W2O12
1.0
5.185 0.000 0.000
0.002 5.366 0.000
0.013 0.018 7.506
Mg Ir W O
1 2 2 12
direct
0.000 0.000 0.000 Mg
0.021 0.558 0.245 Ir
0.516 0.060 0.753 Ir
0.018 0.555 0.737 W
0.519 0.063 0.262 W
0.109 0.600 0.995 O
0.212 0.858 0.705 O
0.222 0.858 0.291 O
0.322 0.356 0.292 O
0.322 0.359 0.706 O
0.391 0.076 0.001 O
0.612 0.047 0.502 O
0.723 0.766 0.801 O
0.733 0.783 0.187 O
0.833 0.249 0.185 O
0.838 0.246 0.812 O
0.925 0.535 0.496 O
```